La2MgTl2: computed powder XRD pattern (a wavelength of 1.5418 Å), based on a crystal structure in Alexandria, relaxed with GGA-PBE.
No peak broadening, texture or thermal motion is included.

Most intense lines, 10° ≤ 2θ ≤ 90°, in order of rising 2θ:
2θ 15.81, intensity 20.5, hkl 1 1 0; 2θ 31.05, intensity 100.0, hkl 2 1 1; 2θ 35.82, intensity 19.9, hkl 3 1 0; 2θ 36.38, intensity 15.5, hkl 0 0 2; 2θ 48.73, intensity 8.6, hkl 3 3 0; 2θ 50.97, intensity 9.6, hkl 4 1 1; 2θ 51.98, intensity 13.8, hkl 3 1 2; 2θ 62.17, intensity 14.0, hkl 2 1 3; 2θ 62.31, intensity 8.2, hkl 3 3 2; 2θ 66.25, intensity 15.2, hkl 5 2 1

Cell lengths 7.9279, 7.9279, 4.9387 Å; angles 90.00, 90.00, 90.00 degrees
Fractional positions:
La 0.1657 0.3343 0.0000
La 0.3343 0.8343 0.0000
La 0.6657 0.1657 0.0000
La 0.8343 0.6657 0.0000
Mg 0.0000 0.0000 0.5000
Mg 0.5000 0.5000 0.5000
Tl 0.1398 0.6398 0.5000
Tl 0.3602 0.1398 0.5000
Tl 0.6398 0.8602 0.5000
Tl 0.8602 0.3602 0.5000